The following is a calculated X-ray powder pattern of TmCr2PO8. It was derived from a PBE+U-relaxed structure, using Cu Kα (weighted mean of Kα1 and Kα2).
Kinematic intensities with the Lorentz-polarization factor, no thermal factor.

Main lines, in order of falling intensity (10 to 80 degrees two-theta):
2theta	d (Å)	Rel. int.	hkl
35.36	2.538	100	1 2 0
27.18	3.281	77	1 0 -1
28.58	3.123	70	1 0 1
24.45	3.641	57	1 1 0
53.51	1.712	50	2 2 -1
55.13	1.666	42	2 2 1
14.44	6.133	33	0 1 0
19.62	4.524	28	1 0 0
69.45	1.353	27	0 2 3
39.85	2.262	23	0 0 2

Atomic structure:
Unit cell a=4.528 b=6.133 c=4.531 alpha=90.00 beta=92.83 gamma=90.00
Space group P2/m (No. 10)
Symmetry-distinct sites (fractional):
Tm (0.000, 0.000, 0.000) [1 per cell]
Cr (0.500, 0.259, 0.500) [2 per cell]
P (0.000, 0.500, 0.000) [1 per cell]
O (0.186, 0.302, 0.185) [4 per cell]
O (0.282, 0.500, 0.717) [2 per cell]
O (0.324, 0.000, 0.674) [2 per cell]